[1]
Structure and computed powder XRD pattern of Ac10NdSm4 (DFT lattice parameters and positions (PBE); a wavelength of 1.5418 Å).

Structural model:
```
data_Ac10NdSm4
_symmetry_space_group_name_H-M 'I 4/m'
_symmetry_Int_Tables_number 87
_symmetry_space_group_name_Hall '-I 4'
_cell_length_a 13.1635
_cell_length_b 13.1635
_cell_length_c 8.3087
_cell_angle_alpha 90.00
_cell_angle_beta 90.00
_cell_angle_gamma 90.00
loop_
_atom_site_label
_atom_site_fract_x
_atom_site_fract_y
_atom_site_fract_z
_atom_site_occupancy
Ac1 0.0000 0.5000 0.2500 1
Ac2 0.1001 0.2004 0.2494 1
Nd1 0.0000 0.0000 0.5000 1
Sm1 0.1000 0.6999 0.0000 1
```

Largest 10 diffraction maxima, by intensity, 2θ = 10–90°:
hkl, 2θ/deg, Rel. int.
3 1 2, 30.4, 100
5 5 2, 54.0, 41
3 1 0, 21.4, 29
6 2 0, 43.5, 19
10 0 4, 87.8, 15
1 2 1, 18.5, 14
6 2 2, 49.0, 14
6 2 4, 63.2, 13
10 0 0, 71.7, 12
2 4 2, 37.4, 9

[2]
Structure and computed powder XRD pattern of Ac2Nd7Sm3 (DFT lattice parameters and positions (PBE); a wavelength of 1.5418 Å).

Structural model:
```
data_Ac2Nd7Sm3
_symmetry_space_group_name_H-M 'P 1 2/m 1'
_symmetry_Int_Tables_number 10
_cell_length_a 6.5668
_cell_length_b 3.6791
_cell_length_c 18.3128
_cell_angle_alpha 90.00
_cell_angle_beta 96.44
_cell_angle_gamma 90.00
loop_
_symmetry_equiv_pos_as_xyz
'x,y,z'
'-x,-y,-z'
'-x,y,-z'
'x,-y,z'
loop_
_atom_site_label
_atom_site_fract_x
_atom_site_fract_y
_atom_site_fract_z
_atom_site_occupancy
Ac1 0.0596 0.0000 0.1724 1
Nd1 0.0000 0.5000 0.5000 1
Nd2 0.2290 0.0000 0.6645 1
Nd3 0.2606 0.0000 0.9987 1
Nd4 0.2788 0.5000 0.3393 1
Sm1 0.4504 0.5000 0.8389 1
Sm2 0.5000 0.0000 0.5000 1
```

Largest 10 diffraction maxima, by intensity, 2θ = 10–90°:
hkl, 2θ/deg, Rel. int.
1 1 2, 30.1, 100
0 0 6, 29.5, 85
2 0 -3, 29.6, 69
1 1 -4, 33.3, 66
2 0 3, 32.6, 51
0 2 6, 58.7, 44
1 1 1, 28.5, 36
3 1 -1, 48.4, 34
1 1 -5, 36.3, 23
1 1 8, 50.5, 22